No. 1
# Cs8O2F
Computed powder XRD pattern, λ = 1.5418 Å (Cu Kα). Input: the GGA-PBE geometry in Alexandria.
Peak positions follow from Bragg's law for the DFT cell and can differ from measured ones.

Structural model:
abc: 12.904 12.904 15.082
angles: 124.35 124.35 48.70
Fractional positions:
Cs: 0.112 0.162 0.498
Cs: 0.129 0.713 0.294
Cs: 0.162 0.112 0.998
Cs: 0.162 0.729 0.824
Cs: 0.271 0.838 0.676
Cs: 0.281 0.425 0.448
Cs: 0.287 0.871 0.206
Cs: 0.425 0.281 0.948
Cs: 0.575 0.719 0.052
Cs: 0.713 0.129 0.794
Cs: 0.719 0.575 0.552
Cs: 0.729 0.162 0.324
Cs: 0.838 0.271 0.176
Cs: 0.838 0.888 0.002
Cs: 0.871 0.287 0.706
Cs: 0.888 0.838 0.502
O: 0.141 0.707 0.475
O: 0.293 0.859 0.025
O: 0.707 0.141 0.975
O: 0.859 0.293 0.525
F: 0.008 0.992 0.750
F: 0.992 0.008 0.250

Main lines, most intense first (2θ from 10° to 90°):
two_theta	I_rel
22.75	100
22.47	76
19.25	72
23.60	67
22.30	50
42.74	40
22.88	33
33.66	31
31.07	27
14.11	21

No. 2
# Ca4InO5
Computed powder XRD pattern, λ = 1.5418 Å (Cu Kα). Input: the GGA-PBE geometry in Alexandria.
Peak positions follow from Bragg's law for the DFT cell and can differ from measured ones.

Structural model:
abc: 5.985 5.985 5.985
angles: 99.31 99.31 132.56
Fractional positions:
Ca: 0.103 0.699 0.802
Ca: 0.301 0.103 0.405
Ca: 0.699 0.897 0.595
Ca: 0.897 0.301 0.198
In: 0.500 0.500 0.000
O: 0.190 0.395 0.584
O: 0.395 0.810 0.205
O: 0.606 0.190 0.795
O: 0.810 0.606 0.416
O: 0.999 0.999 0.000

Main lines, most intense first (2θ from 10° to 90°):
two_theta	I_rel
36.68	100
31.82	96
53.35	60
37.35	45
52.84	30
21.73	28
66.48	28
63.01	26
16.18	25
63.92	14